Theoretical PXRD pattern of CsU2F11 for λ = 1.5418 Å (Cu Kα), from a crystal structure in Alexandria, relaxed with GGA-PBE.

Crystal structure
```
data_CsU2F11
_cell_length_a 9.797
_cell_length_b 10.488
_cell_length_c 13.166
_cell_angle_alpha 90.00
_cell_angle_beta 90.00
_cell_angle_gamma 90.00
_symmetry_space_group_name_H-M 'I b a m'
_symmetry_Int_Tables_number 72
_symmetry_space_group_name_Hall '-I 2 2c'
loop_
_atom_site_label
_atom_site_fract_x
_atom_site_fract_y
_atom_site_fract_z
Cs1 0.000 0.000 0.250
U1 0.153 0.337 0.000
F1 0.000 0.500 0.000
F2 0.051 0.239 0.113
F3 0.202 0.305 0.500
F4 0.240 0.067 0.389
```

Most intense lines, 2θ = 10–90°, low angle first:
| hkl | d/Å | I (rel.) |
| --- | --- | --- |
| 0 0 2 | 6.583 | 83 |
| 1 1 2 | 4.846 | 84 |
| 1 2 1 | 4.362 | 94 |
| 2 1 1 | 4.206 | 100 |
| 0 2 2 | 4.102 | 42 |
| 2 0 2 | 3.930 | 28 |
| 0 0 4 | 3.292 | 49 |
| 3 1 0 | 3.120 | 54 |
| 3 1 4 | 2.264 | 32 |
| 3 3 2 | 2.244 | 52 |



Theoretical PXRD pattern of Cs2UZn3F12 for λ = 1.5418 Å (Cu Kα), from a crystal structure in Alexandria, relaxed with GGA-PBE.

Crystal structure
```
data_Cs2UZn3F12
_cell_length_a 7.5917
_cell_length_b 7.5917
_cell_length_c 19.8968
_cell_angle_alpha 90.00
_cell_angle_beta 90.00
_cell_angle_gamma 120.00
_symmetry_space_group_name_H-M 'R -3 m'
_symmetry_Int_Tables_number 166
_symmetry_space_group_name_Hall '-R 3 2"'
loop_
_atom_site_label
_atom_site_fract_x
_atom_site_fract_y
_atom_site_fract_z
Cs1 0.0000 0.0000 0.0991
U1 0.0000 0.0000 0.5000
Zn1 0.0000 0.5000 0.0000
F1 0.0477 0.5239 0.1100
F2 0.0723 0.5362 0.3419
```

Most intense lines, 2θ = 10–90°, low angle first:
| hkl | d/Å | I (rel.) |
| --- | --- | --- |
| 1 0 1 | 6.243 | 27 |
| 0 1 2 | 5.485 | 57 |
| 1 1 0 | 3.796 | 55 |
| 0 1 5 | 3.404 | 100 |
| 1 1 3 | 3.294 | 88 |
| 2 0 2 | 3.121 | 67 |
| 1 2 5 | 2.108 | 36 |
| 3 0 3 | 2.081 | 29 |
| 2 2 0 | 1.898 | 44 |
| 3 1 5 | 1.658 | 32 |